# 1
Structure and simulated powder diffractogram of Ga2Ag5Sn2 (a GGA-PBE-relaxed structure; Cu Kα, 1.54184 Å).
Lines closer than 0.1° are merged.

Atomic structure:
```
data_Ga2Ag5Sn2
_chemical_formula_sum 'Ga2 Ag5 Sn2'
_cell_length_a 5.273
_cell_length_b 5.818
_cell_length_c 6.981
_cell_angle_alpha 70.28
_cell_angle_beta 69.50
_cell_angle_gamma 72.26
_symmetry_space_group_name_H-M 'P -1'
_symmetry_Int_Tables_number 2
loop_
_symmetry_equiv_pos_as_xyz
'x,y,z'
'-x,-y,-z'
loop_
_atom_site_label
_atom_site_type_symbol
_atom_site_fract_x
_atom_site_fract_y
_atom_site_fract_z
Ga1 Ga 0.161 0.167 0.340
Ag1 Ag 0.000 0.500 0.000
Ag2 Ag 0.243 0.398 0.600
Ag3 Ag 0.318 0.853 0.699
Sn1 Sn 0.343 0.729 0.148
```

Most intense lines, 2θ from 10° to 90°, by angle:
2θ (°)  d (Å)  I_rel  index
31.25  2.862  34  -1 1 1
32.79  2.731  48  0 2 1
34.71  2.584  37  1 2 0
36.58  2.457  53  0 1 -2
37.50  2.399  35  2 1 0
38.07  2.364  100  0 2 2
38.93  2.314  53  1 1 3
40.29  2.238  46  2 0 2

=====

# 2
Structure and simulated powder diffractogram of Ga5AgSn (a GGA-PBE-relaxed structure; Cu Kα, 1.54184 Å).
Lines closer than 0.1° are merged.

Atomic structure:
```
data_Ga5AgSn
_chemical_formula_sum 'Ga5 Ag1 Sn1'
_cell_length_a 4.160
_cell_length_b 4.160
_cell_length_c 8.473
_cell_angle_alpha 90.00
_cell_angle_beta 90.00
_cell_angle_gamma 90.00
_symmetry_space_group_name_H-M 'P 4/m m m'
_symmetry_Int_Tables_number 123
_symmetry_space_group_name_Hall '-P 4 2'
loop_
_atom_site_label
_atom_site_type_symbol
_atom_site_fract_x
_atom_site_fract_y
_atom_site_fract_z
Ga1 Ga 0.000 0.000 0.000
Ga2 Ga 0.000 0.500 0.244
Ag1 Ag 0.500 0.500 0.000
Sn1 Sn 0.000 0.000 0.500
```

Most intense lines, 2θ from 10° to 90°, by angle:
2θ (°)  d (Å)  I_rel  index
23.83  3.734  23  1 0 1
37.21  2.416  100  1 1 2
42.68  2.118  17  0 0 4
43.51  2.080  32  2 0 0
62.59  1.484  21  2 0 4
74.54  1.273  12  1 1 6
75.71  1.256  24  3 1 2
79.31  1.208  11  2 2 4

=====

# 3
Structure and simulated powder diffractogram of Ga3Ag3Sn (a GGA-PBE-relaxed structure; Cu Kα, 1.54184 Å).
Lines closer than 0.1° are merged.

Atomic structure:
```
data_Ga3Ag3Sn
_chemical_formula_sum 'Ga6 Ag6 Sn2'
_cell_length_a 8.0952
_cell_length_b 8.0952
_cell_length_c 5.0621
_cell_angle_alpha 90.00
_cell_angle_beta 90.00
_cell_angle_gamma 120.00
_symmetry_space_group_name_H-M 'P 63/m m c'
_symmetry_Int_Tables_number 194
_symmetry_space_group_name_Hall '-P 6c 2c'
loop_
_atom_site_label
_atom_site_type_symbol
_atom_site_fract_x
_atom_site_fract_y
_atom_site_fract_z
Ga1 Ga 0.1120 0.2239 0.2500
Ag1 Ag 0.0908 0.5454 0.2500
Sn1 Sn 0.3333 0.6667 0.7500
```

Most intense lines, 2θ from 10° to 90°, by angle:
2θ (°)  d (Å)  I_rel  index
31.03  2.882  47  2 0 1
33.83  2.650  42  2 1 0
35.47  2.531  58  0 0 2
38.34  2.348  44  2 1 1
42.61  2.122  100  3 0 1
49.82  1.830  28  2 1 2
68.60  1.368  23  3 0 3
80.71  1.191  29  3 3 2